# 1
MnTlRh2: calculated X-ray powder pattern (Cu Kα), based on a cell relaxed with PBE.

Principal peaks in the range 2θ from 10° to 90°, in order of falling intensity:
2θ = 40.0°, I 100
2θ = 40.1°, I 51
2θ = 72.8°, I 33
2θ = 31.4°, I 28
2θ = 13.8°, I 18
2θ = 58.1°, I 17
2θ = 72.4°, I 15
2θ = 86.2°, I 10
2θ = 59.7°, I 9
2θ = 57.5°, I 8

Structural model:
a = 3.1774 Å, b = 3.1774 Å, c = 6.4103 Å
α = 90.00°, β = 90.00°, γ = 90.00°
Positions (direct):
Mn 0.0000 0.0000 0.0000
Tl 0.0000 0.0000 0.5000
Rh 0.5000 0.5000 0.2261
Rh 0.5000 0.5000 0.7739

=====

# 2
ZrMnRh2: calculated X-ray powder pattern (Cu Kα), based on a cell relaxed with PBE.

Principal peaks in the range 2θ from 10° to 90°, in order of falling intensity:
2θ = 39.9°, I 100
2θ = 72.5°, I 32
2θ = 57.8°, I 16
2θ = 86.1°, I 10
2θ = 27.9°, I 4
2θ = 24.1°, I 3
2θ = 65.4°, I 2
2θ = 47.2°, I 1
2θ = 49.4°, I 1
2θ = 63.5°, I 1

Structural model:
a = 4.5154 Å, b = 4.5154 Å, c = 4.5154 Å
α = 60.00°, β = 60.00°, γ = 60.00°
Positions (direct):
Zr 0.0000 0.0000 0.0000
Mn 0.5000 0.5000 0.5000
Rh 0.2500 0.2500 0.2500
Rh 0.7500 0.7500 0.7500

=====

# 3
MnRu: calculated X-ray powder pattern (Cu Kα), based on a cell relaxed with PBE.

Principal peaks in the range 2θ from 10° to 90°, in order of falling intensity:
2θ = 45.2°, I 100
2θ = 39.2°, I 31
2θ = 44.1°, I 23
2θ = 87.5°, I 18
2θ = 60.4°, I 17
2θ = 81.8°, I 16
2θ = 71.0°, I 16
2θ = 88.3°, I 14
2θ = 21.6°, I 13
2θ = 84.3°, I 3

Structural model:
a = 2.6538 Å, b = 2.6538 Å, c = 4.1105 Å
α = 90.00°, β = 90.00°, γ = 120.00°
Positions (direct):
Mn 0.0000 0.0000 0.0000
Ru 0.6667 0.3333 0.5000

=====

# 4
Ti2MnRu: calculated X-ray powder pattern (Cu Kα), based on a cell relaxed with PBE.

Principal peaks in the range 2θ from 10° to 90°, in order of falling intensity:
2θ = 42.1°, I 100
2θ = 76.9°, I 30
2θ = 61.0°, I 15
2θ = 25.4°, I 9
2θ = 29.4°, I 9
2θ = 49.8°, I 5
2θ = 69.2°, I 3
2θ = 52.2°, I 2
2θ = 67.2°, I 2
2θ = 82.5°, I 2

Structural model:
a = 4.2956 Å, b = 4.2956 Å, c = 4.2956 Å
α = 60.00°, β = 60.00°, γ = 60.00°
Positions (direct):
Ti 0.2500 0.2500 0.2500
Ti 0.7500 0.7500 0.7500
Mn 0.0000 0.0000 0.0000
Ru 0.5000 0.5000 0.5000

=====

# 5
Mn2S3: calculated X-ray powder pattern (Cu Kα), based on a cell relaxed with PBE.

Principal peaks in the range 2θ from 10° to 90°, in order of falling intensity:
2θ = 46.6°, I 100
2θ = 35.6°, I 69
2θ = 55.5°, I 51
2θ = 21.1°, I 49
2θ = 28.7°, I 43
2θ = 31.2°, I 27
2θ = 75.3°, I 21
2θ = 42.9°, I 20
2θ = 54.0°, I 16
2θ = 61.5°, I 12

Structural model:
a = 6.2630 Å, b = 6.2630 Å, c = 6.2630 Å
α = 54.50°, β = 54.50°, γ = 54.50°
Positions (direct):
Mn 0.1580 0.1580 0.1580
Mn 0.3420 0.3420 0.3420
Mn 0.6580 0.6580 0.6580
Mn 0.8420 0.8420 0.8420
S 0.0701 0.7500 0.4299
S 0.2500 0.5701 0.9299
S 0.4299 0.0701 0.7500
S 0.5701 0.9299 0.2500
S 0.7500 0.4299 0.0701
S 0.9299 0.2500 0.5701

=====

# 6
MnS: calculated X-ray powder pattern (Cu Kα), based on a cell relaxed with PBE.

Principal peaks in the range 2θ from 10° to 90°, in order of falling intensity:
2θ = 41.2°, I 100
2θ = 75.1°, I 29
2θ = 59.7°, I 15
2θ = 89.4°, I 10
2θ = 28.8°, I 9
2θ = 67.6°, I 3
2θ = 51.0°, I 2

Structural model:
a = 3.0990 Å, b = 3.0990 Å, c = 3.0990 Å
α = 90.00°, β = 90.00°, γ = 90.00°
Positions (direct):
Mn 0.0000 0.0000 0.0000
S 0.5000 0.5000 0.5000